# 1
Theoretical X-ray diffraction stick pattern of Li5CuF6 for Cu Kα X-rays, from a DFT-relaxed cell (GGA-PBE, the Materials Project).

Top 10 peaks for 5 to 70 degrees two-theta, by intensity:
| 2θ (°) | d_spacing | intensity |
| --- | --- | --- |
| 43.36 | 2.087 | 100 |
| 42.70 | 2.118 | 65 |
| 20.90 | 4.251 | 52 |
| 23.27 | 3.822 | 45 |
| 18.40 | 4.823 | 34 |
| 27.30 | 3.267 | 30 |
| 19.99 | 4.441 | 27 |
| 62.39 | 1.488 | 27 |
| 62.59 | 1.484 | 27 |
| 32.05 | 2.793 | 26 |

Structure:
```
12
Lattice="2.5831 -4.4407 0.0000 2.5831 4.4407 0.0000 -1.7960 0.0000 4.8229" Properties=species:S:1:pos:R:3 pbc="T T T"
Li 0.0000 0.0000 0.0000
Li 1.6850 2.9561 2.4115
Li 2.5831 1.4717 0.0000
Li 2.5831 -1.4717 0.0000
Li 1.6850 -2.9561 2.4115
Cu 1.6850 0.0000 2.4115
F 0.7851 1.5734 1.1841
F -0.1759 0.0000 3.7159
F 0.7851 -1.5733 1.1841
F 2.5850 1.5733 3.6388
F 3.5460 0.0000 1.1070
F 2.5850 -1.5734 3.6388
```

# 2
Theoretical X-ray diffraction stick pattern of Li2Cu3F7 for Cu Kα X-rays, from a DFT-relaxed cell (GGA-PBE, the Materials Project).

Top 10 peaks for 5 to 70 degrees two-theta, by intensity:
| 2θ (°) | d_spacing | intensity |
| --- | --- | --- |
| 26.28 | 3.391 | 100 |
| 17.41 | 5.095 | 92 |
| 39.66 | 2.273 | 42 |
| 34.16 | 2.625 | 26 |
| 47.29 | 1.922 | 22 |
| 24.03 | 3.704 | 18 |
| 19.27 | 4.607 | 16 |
| 56.89 | 1.619 | 14 |
| 29.16 | 3.062 | 14 |
| 31.12 | 2.874 | 14 |

Structure:
```
24
Lattice="10.1901 0.0000 0.0000 0.0000 10.7869 0.0000 0.0000 0.0000 3.0623" Properties=species:S:1:pos:R:3 pbc="T T T"
Li 2.5466 1.6138 0.0000
Li 2.5485 7.0073 0.0000
Li 7.6417 3.7797 0.0000
Li 7.6435 9.1731 0.0000
Cu 0.0000 0.0000 1.5311
Cu 0.4158 3.9450 1.5311
Cu 4.6792 9.3385 1.5311
Cu 5.0951 5.3935 1.5311
Cu 5.5109 1.4484 1.5311
Cu 9.7743 6.8419 1.5311
F 0.0000 5.3935 0.0000
F 1.2297 2.9978 0.0000
F 1.2664 0.1196 0.0000
F 1.5812 7.1720 1.5311
F 3.5139 1.7785 1.5311
F 3.8287 5.5130 0.0000
F 3.8654 8.3913 0.0000
F 5.0951 0.0000 0.0000
F 6.3247 2.3956 0.0000
F 6.3615 5.2739 0.0000
F 6.6763 9.0084 1.5311
F 8.6089 3.6150 1.5311
F 8.9237 10.6674 0.0000
F 8.9605 7.7891 0.0000
```

# 3
Theoretical X-ray diffraction stick pattern of Li2CuSbF6 for Cu Kα X-rays, from a DFT-relaxed cell (GGA-PBE, the Materials Project).

Top 10 peaks for 5 to 70 degrees two-theta, by intensity:
| 2θ (°) | d_spacing | intensity |
| --- | --- | --- |
| 20.51 | 4.330 | 100 |
| 29.16 | 3.062 | 43 |
| 46.92 | 1.937 | 42 |
| 41.72 | 2.165 | 31 |
| 64.56 | 1.443 | 19 |
| 60.47 | 1.531 | 18 |
| 51.71 | 1.768 | 18 |
| 17.74 | 5.000 | 9 |
| 68.52 | 1.369 | 8 |
| 34.34 | 2.611 | 6 |

Structure:
```
10
Lattice="0.0000 4.3304 4.3304 4.3304 0.0000 4.3304 4.3304 4.3304 0.0000" Properties=species:S:1:pos:R:3 pbc="T T T"
Li 2.1652 2.1652 2.1652
Li 6.4957 6.4957 6.4957
Cu 0.0000 0.0000 0.0000
Sb 4.3304 4.3304 4.3304
F 4.3304 4.3304 2.1415
F 4.3304 2.1415 4.3304
F 6.5194 4.3304 4.3304
F 2.1415 4.3304 4.3304
F 4.3304 6.5194 4.3304
F 4.3304 4.3304 6.5194
```

# 4
Theoretical X-ray diffraction stick pattern of Li2ScCuF6 for Cu Kα X-rays, from a DFT-relaxed cell (GGA-PBE, the Materials Project).

Top 10 peaks for 5 to 70 degrees two-theta, by intensity:
| 2θ (°) | d_spacing | intensity |
| --- | --- | --- |
| 21.29 | 4.173 | 100 |
| 43.36 | 2.087 | 39 |
| 48.79 | 1.866 | 37 |
| 30.29 | 2.951 | 27 |
| 63.00 | 1.475 | 21 |
| 67.31 | 1.391 | 15 |
| 53.81 | 1.704 | 11 |
| 35.68 | 2.517 | 4 |
| 47.48 | 1.915 | 3 |
| 18.41 | 4.819 | 2 |

Structure:
```
10
Lattice="0.0000 4.1733 4.1733 4.1733 0.0000 4.1733 4.1733 4.1733 0.0000" Properties=species:S:1:pos:R:3 pbc="T T T"
Li 2.0866 2.0866 2.0866
Li 6.2599 6.2599 6.2599
Sc 0.0000 0.0000 0.0000
Cu 4.1733 4.1733 4.1733
F 4.1733 4.1733 2.0119
F 4.1733 2.0119 4.1733
F 6.3347 4.1733 4.1733
F 2.0119 4.1733 4.1733
F 4.1733 6.3347 4.1733
F 4.1733 4.1733 6.3347
```

# 5
Theoretical X-ray diffraction stick pattern of MgCuF5 for Cu Kα X-rays, from a DFT-relaxed cell (GGA-PBE, the Materials Project).

Top 10 peaks for 5 to 70 degrees two-theta, by intensity:
| 2θ (°) | d_spacing | intensity |
| --- | --- | --- |
| 27.99 | 3.188 | 100 |
| 23.24 | 3.828 | 92 |
| 18.53 | 4.788 | 50 |
| 29.10 | 3.068 | 42 |
| 50.91 | 1.794 | 38 |
| 47.50 | 1.914 | 34 |
| 26.58 | 3.354 | 33 |
| 56.68 | 1.624 | 29 |
| 56.04 | 1.641 | 26 |
| 48.82 | 1.865 | 24 |

Structure:
```
14
Lattice="4.2589 -3.0683 0.0000 4.2589 3.0683 0.0000 -3.2702 0.0000 6.7065" Properties=species:S:1:pos:R:3 pbc="T T T"
Mg 1.8062 2.8252 5.0299
Mg 3.4413 -2.8252 1.6766
Cu 4.2589 0.0000 0.0000
Cu 2.6238 0.0000 3.3532
F 3.9991 1.8749 0.2618
F 2.8836 1.8749 3.0915
F 0.9314 0.1319 2.5243
F -0.7037 -0.1319 5.8776
F 1.8062 0.6864 5.0299
F 3.4413 -0.6864 1.6766
F 5.9513 0.1319 0.8289
F 4.3162 -0.1319 4.1822
F 2.3640 -1.8749 3.6150
F 1.2485 -1.8749 6.4447
```